# K3Al3Si3W4O12
Simulated powder XRD pattern, copper Kα. Input: a structure optimized by DFT (GGA+U).
Kinematic intensities with the Lorentz-polarization factor, no thermal factor.

Crystal structure
```
data_K3Al3Si3W4O12
_space_group_name_H-M_alt 'P 1'
_space_group_IT_number 1
_cell_length_a 9.4544
_cell_length_b 9.5559
_cell_length_c 9.6183
_cell_angle_alpha 89.74
_cell_angle_beta 89.21
_cell_angle_gamma 89.30
loop_
_space_group_symop_operation_xyz
'x,y,z'
loop_
_atom_site_label
_atom_site_type_symbol
_atom_site_fract_x
_atom_site_fract_y
_atom_site_fract_z
K1 K 0.0000 0.0000 0.0000
K2 K 0.0285 0.0305 0.5274
K3 K 0.4462 0.3916 0.4674
K4 K 0.5221 0.0079 0.0229
K5 K 0.5720 0.5863 0.9711
K6 K 0.9540 0.5973 0.6065
Al1 Al 0.0188 0.2673 0.7738
Al2 Al 0.2707 0.7692 0.0303
Al3 Al 0.2766 0.7736 0.5279
Al4 Al 0.5230 0.2700 0.7821
Al5 Al 0.7666 0.0267 0.2758
Al6 Al 0.7820 0.5235 0.2752
Si1 Si 0.0267 0.7794 0.2845
Si2 Si 0.2745 0.5217 0.7694
Si3 Si 0.2765 0.0185 0.7750
Si4 Si 0.5258 0.7706 0.2758
Si5 Si 0.7692 0.2748 0.0298
Si6 Si 0.7771 0.2852 0.5300
W1 W 0.1270 0.4655 0.3217
W2 W 0.1545 0.4264 0.0271
W3 W 0.1796 0.1746 0.2292
W4 W 0.4348 0.3203 0.1287
W5 W 0.5908 0.6755 0.6092
W6 W 0.6391 0.9889 0.5571
W7 W 0.7607 0.8590 0.8028
W8 W 0.9140 0.6340 0.9609
O1 O 0.1214 0.7824 0.1406
O2 O 0.1242 0.7892 0.4240
O3 O 0.1302 0.1165 0.7728
O4 O 0.1330 0.4185 0.7919
O5 O 0.2529 0.6201 0.6337
O6 O 0.2732 0.6099 0.9210
O7 O 0.2735 0.9141 0.9135
O8 O 0.2787 0.9242 0.6328
O9 O 0.4153 0.4228 0.7584
O10 O 0.4165 0.1196 0.7816
O11 O 0.4244 0.7732 0.1371
O12 O 0.4337 0.7424 0.4232
O13 O 0.6083 0.9237 0.2864
O14 O 0.6095 0.2861 0.9498
O15 O 0.6402 0.6426 0.2596
O16 O 0.6408 0.2785 0.6371
O17 O 0.7643 0.1412 0.4288
O18 O 0.7653 0.4228 0.4298
O19 O 0.7657 0.1309 0.1243
O20 O 0.7780 0.4165 0.1246
O21 O 0.8949 0.2597 0.9125
O22 O 0.9140 0.9113 0.2822
O23 O 0.9268 0.2845 0.6145
O24 O 0.9435 0.6244 0.3051
```

Top 10 peaks for 5 to 70 degrees two-theta, by angle:
(0 1 0), d = 9.582 Å, 2θ 9.23, I 16
(1 1 0), d = 6.777 Å, 2θ 13.06, I 100
(1 0 -1), d = 6.691 Å, 2θ 13.23, I 50
(1 0 2), d = 4.309 Å, 2θ 20.61, I 17
(2 -2 1), d = 3.159 Å, 2θ 28.25, I 17
(1 3 0), d = 3.029 Å, 2θ 29.49, I 21
(3 0 1), d = 3.006 Å, 2θ 29.72, I 16
(3 -1 0), d = 2.982 Å, 2θ 29.97, I 17
(3 2 0), d = 2.648 Å, 2θ 33.85, I 19
(3 3 0), d = 2.255 Å, 2θ 39.98, I 16